Diffraction record for Na3CoF6. The XRD peak list is computed, not measured: it uses DFT lattice parameters and positions (PBE+U) and a wavelength of 1.5418 Å.
Intensities are scaled so that the largest is 100.

Crystal structure
```
data_Na3CoF6
_chemical_formula_sum 'Na6 Co2 F12'
_cell_length_a 5.6204
_cell_length_b 5.7927
_cell_length_c 9.6534
_cell_angle_alpha 90.00
_cell_angle_beta 124.51
_cell_angle_gamma 90.00
_space_group_name_H-M_alt 'P 1 21/c 1'
_space_group_IT_number 14
loop_
_space_group_symop_operation_xyz
'x,y,z'
'-x,-y,-z'
'-x,y+1/2,-z+1/2'
'x,-y+1/2,z+1/2'
loop_
_atom_site_label
_atom_site_type_symbol
_atom_site_fract_x
_atom_site_fract_y
_atom_site_fract_z
Na1 Na 0.0000 0.0000 0.0000
Na2 Na 0.2313 0.0475 0.7383
Co1 Co 0.5000 0.0000 0.5000
F1 F 0.1631 0.1674 0.4600
F2 F 0.2740 0.7140 0.4325
F3 F 0.3762 0.0594 0.2749
```

The 10 most intense peaks (10 to 90 degrees two-theta), in order of falling intensity:
h k l	two_theta	Rel. int.
2 0 -2	31.83	100
0 1 1	18.95	95
1 1 1	31.37	76
2 2 -2	44.95	74
3 1 -1	56.15	72
1 1 -1	22.04	69
0 0 4	45.62	42
0 2 0	30.87	41
0 0 2	22.35	36
1 0 -2	19.51	33